1.
Diffraction record for Mg3Si4Ag2O14. The powder diffractogram is theoretical, not measured: it uses DFT lattice parameters and positions (GGA-PBE) and Cu Ka.

Cell and atoms:
```
46
Lattice="8.832 -3.880 0.000 8.832 3.880 0.000 -5.851 0.000 8.488" Properties=species:S:1:pos:R:3 pbc="T T T"
Mg 4.444 3.074 6.366
Mg 2.204 0.908 5.344
Mg 5.129 -0.908 1.100
Mg 6.683 0.908 7.389
Mg 9.609 -0.908 3.144
Mg 7.369 -3.074 2.122
Si 1.460 0.815 0.931
Si 3.734 1.825 2.535
Si -1.466 -0.815 5.176
Si 11.004 1.825 1.709
Si 0.809 -1.825 6.779
Si 13.278 0.815 3.313
Si 8.078 -1.825 5.953
Si 10.353 -0.815 7.557
Ag 7.369 1.724 2.122
Ag 8.832 0.000 0.000
Ag 5.906 0.000 4.244
Ag 4.444 -1.724 6.366
O 2.931 1.545 1.127
O 7.458 3.299 0.693
O 2.654 1.940 3.723
O -1.535 0.612 6.010
O 7.281 3.299 3.551
O 2.719 2.179 6.862
O 1.390 -0.612 1.766
O 4.828 0.582 2.535
O 6.168 2.179 5.870
O 7.021 0.255 0.818
O 0.006 -1.545 5.371
O 1.903 -0.582 6.779
O 12.084 1.940 0.521
O 4.096 -0.255 5.062
O 7.717 0.255 3.426
O -0.272 -1.940 7.967
O 9.910 0.582 1.710
O 11.807 1.545 3.117
O 4.791 -0.255 7.670
O 5.644 -2.179 2.618
O 6.985 -0.582 5.954
O 10.422 0.612 6.722
O 9.094 -2.179 1.626
O 4.532 -3.299 4.937
O 13.348 -0.612 2.478
O 9.159 -1.940 4.765
O 4.355 -3.299 7.795
O 8.881 -1.545 7.361
```

Largest 12 diffraction maxima, sorted by position, 2θ = 5–70°:
12.17 deg, intensity 100; 12.93 deg, intensity 44; 18.70 deg, intensity 28; 18.92 deg, intensity 36; 21.64 deg, intensity 26; 27.53 deg, intensity 30; 27.98 deg, intensity 27; 28.61 deg, intensity 34; 31.23 deg, intensity 65; 31.51 deg, intensity 36; 37.08 deg, intensity 26; 37.91 deg, intensity 39

***

2.
Diffraction record for Cs2YBr6. The powder diffractogram is theoretical, not measured: it uses DFT lattice parameters and positions (GGA-PBE) and Cu Ka.

Cell and atoms:
```
18
Lattice="7.954 0.000 0.000 -3.977 6.888 0.000 0.000 0.000 13.030" Properties=species:S:1:pos:R:3 pbc="T T T"
Cs 0.000 0.000 0.000
Cs 0.000 0.000 6.515
Cs 0.000 4.592 3.338
Cs 3.977 2.296 9.853
Y 0.000 4.592 8.256
Y 3.977 2.296 1.741
Br -1.962 3.460 6.609
Br 0.000 2.258 9.802
Br -2.021 5.759 9.802
Br 1.956 1.129 3.287
Br 1.962 3.460 6.609
Br 0.000 6.857 6.609
Br 3.977 0.031 0.095
Br 2.015 3.429 0.095
Br 2.021 5.759 9.802
Br 5.998 1.129 3.287
Br 3.977 4.630 3.287
Br 5.938 3.429 0.095
```

Largest 12 diffraction maxima, sorted by position, 2θ = 5–70°:
22.36 deg, intensity 11; 26.77 deg, intensity 29; 27.38 deg, intensity 27; 29.33 deg, intensity 100; 33.20 deg, intensity 32; 38.02 deg, intensity 8; 43.55 deg, intensity 16; 45.62 deg, intensity 32; 49.63 deg, intensity 21; 54.03 deg, intensity 23; 55.17 deg, intensity 17; 69.69 deg, intensity 8

***

3.
Diffraction record for Nd3Sm4Th2. The powder diffractogram is theoretical, not measured: it uses DFT lattice parameters and positions (GGA-PBE) and Cu Ka.

Cell and atoms:
```
9
Lattice="3.608 0.000 0.000 -1.804 3.124 0.000 0.000 0.000 27.318" Properties=species:S:1:pos:R:3 pbc="T T T"
Nd 0.000 0.000 0.000
Nd 0.000 0.000 9.306
Nd 1.804 1.041 18.336
Sm 0.000 0.000 15.319
Sm 0.000 0.000 21.379
Sm 1.804 1.041 6.391
Sm 1.804 1.041 12.392
Th 1.804 1.041 3.010
Th 1.804 1.041 24.301
```

Largest 12 diffraction maxima, sorted by position, 2θ = 5–70°:
28.57 deg, intensity 53; 29.43 deg, intensity 55; 30.24 deg, intensity 14; 31.49 deg, intensity 69; 33.03 deg, intensity 100; 34.83 deg, intensity 11; 41.48 deg, intensity 37; 50.60 deg, intensity 40; 55.53 deg, intensity 32; 59.62 deg, intensity 46; 60.83 deg, intensity 11; 61.76 deg, intensity 17

***

4.
Diffraction record for UCu2Pb2Se6. The powder diffractogram is theoretical, not measured: it uses DFT lattice parameters and positions (GGA-PBE) and Cu Ka.

Cell and atoms:
```
11
Lattice="7.168 0.000 0.000 -3.584 6.207 0.000 0.000 0.000 6.989" Properties=species:S:1:pos:R:3 pbc="T T T"
U 0.000 0.000 0.000
Cu 0.000 4.138 5.776
Cu 3.584 2.069 1.213
Pb 0.000 4.138 2.787
Pb 3.584 2.069 4.201
Se -0.881 1.987 5.336
Se -1.423 5.977 5.336
Se 1.280 1.757 1.652
Se 2.304 4.451 5.336
Se 5.007 0.230 1.652
Se 4.465 4.221 1.652
```

Largest 12 diffraction maxima, sorted by position, 2θ = 5–70°:
19.12 deg, intensity 100; 24.84 deg, intensity 61; 27.98 deg, intensity 45; 29.33 deg, intensity 60; 31.54 deg, intensity 40; 35.89 deg, intensity 38; 38.81 deg, intensity 35; 40.56 deg, intensity 35; 41.40 deg, intensity 22; 43.75 deg, intensity 60; 46.63 deg, intensity 40; 55.60 deg, intensity 19

***

5.
Diffraction record for Ho2HgPb. The powder diffractogram is theoretical, not measured: it uses DFT lattice parameters and positions (GGA-PBE) and Cu Ka.

Cell and atoms:
```
8
Lattice="6.153 0.000 0.000 0.000 4.445 0.000 -2.934 0.000 8.162" Properties=species:S:1:pos:R:3 pbc="T T T"
Ho -0.073 1.111 3.524
Ho 1.562 3.334 0.539
Ho 1.657 1.111 7.624
Ho 3.291 3.334 4.638
Hg -1.683 1.111 6.520
Hg 4.902 3.334 1.642
Pb 0.338 3.334 5.768
Pb 2.880 1.111 2.394
```

Largest 12 diffraction maxima, sorted by position, 2θ = 5–70°:
29.60 deg, intensity 89; 29.72 deg, intensity 83; 31.25 deg, intensity 68; 37.06 deg, intensity 71; 37.36 deg, intensity 100; 40.59 deg, intensity 45; 41.16 deg, intensity 43; 52.11 deg, intensity 34; 52.27 deg, intensity 15; 52.87 deg, intensity 14; 59.19 deg, intensity 30; 67.19 deg, intensity 17

***

6.
Diffraction record for NaFeSnCl2. The powder diffractogram is theoretical, not measured: it uses DFT lattice parameters and positions (GGA-PBE) and Cu Ka.

Cell and atoms:
```
5
Lattice="5.761 0.000 0.000 0.000 5.761 0.000 0.000 0.000 5.013" Properties=species:S:1:pos:R:3 pbc="T T T"
Na 0.000 0.000 0.000
Fe 2.880 2.880 0.000
Sn 2.880 2.880 2.506
Cl 0.000 2.880 2.506
Cl 2.880 0.000 2.506
```

Largest 12 diffraction maxima, sorted by position, 2θ = 5–70°:
15.38 deg, intensity 100; 17.69 deg, intensity 19; 21.82 deg, intensity 30; 23.53 deg, intensity 22; 31.05 deg, intensity 59; 34.82 deg, intensity 27; 35.83 deg, intensity 20; 39.20 deg, intensity 20; 44.48 deg, intensity 21; 48.12 deg, intensity 33; 50.84 deg, intensity 22; 58.38 deg, intensity 18

***

7.
Diffraction record for Pr6YHo2. The powder diffractogram is theoretical, not measured: it uses DFT lattice parameters and positions (GGA-PBE) and Cu Ka.

Cell and atoms:
```
18
Lattice="8.289 -5.978 0.000 8.289 5.978 0.000 -0.694 0.000 6.267" Properties=species:S:1:pos:R:3 pbc="T T T"
Pr 6.803 4.316 6.179
Pr 4.602 1.665 0.960
Pr 8.734 4.316 3.221
Pr 5.842 1.693 4.271
Pr 4.255 -1.665 4.093
Pr 9.695 1.693 5.129
Pr 6.189 -1.693 1.137
Pr 11.629 1.665 2.173
Pr 10.042 -1.693 1.996
Pr 7.150 -4.316 3.046
Pr 11.282 -1.665 5.307
Pr 9.081 -4.316 0.088
Y 8.116 1.207 1.567
Y 7.769 -1.207 4.700
Ho 2.350 1.215 3.669
Ho 2.697 -1.215 0.535
Ho 13.187 1.215 5.731
Ho 13.534 -1.215 2.598
```

Largest 12 diffraction maxima, sorted by position, 2θ = 5–70°:
29.39 deg, intensity 61; 29.89 deg, intensity 49; 30.16 deg, intensity 60; 31.10 deg, intensity 100; 36.41 deg, intensity 35; 37.05 deg, intensity 27; 48.31 deg, intensity 14; 48.92 deg, intensity 14; 50.43 deg, intensity 13; 53.82 deg, intensity 22; 54.38 deg, intensity 22; 64.83 deg, intensity 14

***

8.
Diffraction record for SmTm2Sc4. The powder diffractogram is theoretical, not measured: it uses DFT lattice parameters and positions (GGA-PBE) and Cu Ka.

Cell and atoms:
```
14
Lattice="5.777 0.000 0.000 2.404 7.538 0.000 1.713 -0.283 8.833" Properties=species:S:1:pos:R:3 pbc="T T T"
Sm 0.000 0.000 0.000
Sm 4.645 1.446 8.157
Tm 3.958 2.057 4.933
Tm 5.211 5.786 0.451
Tm 6.966 3.775 4.466
Tm 6.807 0.344 5.526
Sc 2.156 4.222 1.272
Sc 3.756 4.764 6.785
Sc 1.997 1.039 2.463
Sc 4.213 5.371 3.618
Sc 6.367 6.399 6.163
Sc 4.992 2.659 1.900
Sc 7.151 6.929 3.078
Sc 7.433 2.850 7.599
```

Largest 12 diffraction maxima, sorted by position, 2θ = 5–70°:
15.70 deg, intensity 46; 20.10 deg, intensity 42; 24.35 deg, intensity 41; 28.24 deg, intensity 25; 31.31 deg, intensity 31; 31.60 deg, intensity 31; 32.86 deg, intensity 58; 33.01 deg, intensity 77; 33.31 deg, intensity 65; 34.26 deg, intensity 33; 35.39 deg, intensity 100; 36.60 deg, intensity 39